1.
Calculated powder diffraction line list
Compound: La2Sm3Hg4
Radiation: Cu Kα (λ = 1.5418 Å)
Structure: the GGA-PBE geometry in Alexandria
Neutral-atom scattering factors, no anomalous dispersion.

Crystal structure
```
La2Sm3Hg4
1.0
3.586 -9.020 0.000
3.586 9.020 0.000
0.000 0.000 8.479
La Sm Hg
4 6 8
Direct
0.095 0.905 0.915
0.405 0.595 0.415
0.595 0.405 0.585
0.905 0.095 0.085
0.000 0.000 0.500
0.011 0.489 0.750
0.489 0.011 0.250
0.500 0.500 0.000
0.511 0.989 0.750
0.989 0.511 0.250
0.169 0.831 0.527
0.186 0.314 0.750
0.314 0.186 0.250
0.331 0.669 0.027
0.669 0.331 0.973
0.686 0.814 0.750
0.814 0.686 0.250
0.831 0.169 0.473
```

Largest 10 diffraction maxima, by intensity, 10 to 90 degrees two-theta:
- 32.71 deg, I 100
- 29.65 deg, I 54
- 28.78 deg, I 40
- 36.64 deg, I 38
- 33.22 deg, I 29
- 59.23 deg, I 27
- 39.09 deg, I 26
- 50.92 deg, I 18
- 64.36 deg, I 15
- 46.83 deg, I 15

---

2.
Calculated powder diffraction line list
Compound: La3SmHg
Radiation: Cu Kα (λ = 1.5418 Å)
Structure: the GGA-PBE geometry in Alexandria
Neutral-atom scattering factors, no anomalous dispersion.

Crystal structure
```
La3SmHg
1.0
3.836 0.000 0.000
0.005 8.888 0.000
1.916 2.219 9.797
La Sm Hg
6 2 2
Direct
0.003 0.289 0.493
0.188 0.375 0.125
0.203 0.838 0.093
0.797 0.162 0.907
0.812 0.625 0.875
0.997 0.711 0.507
0.406 0.965 0.685
0.594 0.035 0.315
0.393 0.421 0.714
0.607 0.579 0.286
```

Largest 10 diffraction maxima, by intensity, 10 to 90 degrees two-theta:
- 30.79 deg, I 100
- 30.41 deg, I 98
- 32.67 deg, I 93
- 53.05 deg, I 30
- 56.67 deg, I 29
- 57.37 deg, I 24
- 40.60 deg, I 17
- 46.34 deg, I 17
- 47.40 deg, I 17
- 68.45 deg, I 9

---

3.
Calculated powder diffraction line list
Compound: La5Sn3Hg
Radiation: Cu Kα (λ = 1.5418 Å)
Structure: the GGA-PBE geometry in Alexandria
Neutral-atom scattering factors, no anomalous dispersion.

Crystal structure
```
La5Sn3Hg
1.0
9.798 0.000 0.000
-4.899 8.485 0.000
0.000 0.000 6.884
La Sn Hg
10 6 2
Direct
0.000 0.287 0.250
0.000 0.713 0.750
0.287 0.000 0.250
0.287 0.287 0.750
0.333 0.667 0.000
0.333 0.667 0.500
0.667 0.333 0.000
0.667 0.333 0.500
0.713 0.000 0.750
0.713 0.713 0.250
0.000 0.371 0.750
0.000 0.629 0.250
0.371 0.000 0.750
0.371 0.371 0.250
0.629 0.000 0.250
0.629 0.629 0.750
0.000 0.000 0.000
0.000 0.000 0.500
```

Largest 10 diffraction maxima, by intensity, 10 to 90 degrees two-theta:
- 31.77 deg, I 100
- 31.63 deg, I 87
- 56.40 deg, I 36
- 45.45 deg, I 32
- 30.76 deg, I 26
- 63.25 deg, I 24
- 75.16 deg, I 11
- 53.23 deg, I 9
- 62.41 deg, I 8
- 59.16 deg, I 8

---

4.
Calculated powder diffraction line list
Compound: LaSn2Hg2
Radiation: Cu Kα (λ = 1.5418 Å)
Structure: the GGA-PBE geometry in Alexandria
Neutral-atom scattering factors, no anomalous dispersion.

Crystal structure
```
LaSn2Hg2
1.0
2.360 -12.290 0.000
2.360 12.290 0.000
0.000 0.000 4.621
La Sn Hg
2 4 4
Direct
0.145 0.855 0.750
0.855 0.145 0.250
0.250 0.750 0.250
0.358 0.642 0.750
0.642 0.358 0.250
0.750 0.250 0.750
0.044 0.956 0.250
0.453 0.547 0.250
0.547 0.453 0.750
0.956 0.044 0.750
```

Largest 10 diffraction maxima, by intensity, 10 to 90 degrees two-theta:
- 32.67 deg, I 100
- 36.56 deg, I 17
- 38.13 deg, I 17
- 38.98 deg, I 16
- 65.48 deg, I 14
- 66.64 deg, I 13
- 63.36 deg, I 13
- 68.45 deg, I 12
- 55.67 deg, I 12
- 53.85 deg, I 11

---

5.
Calculated powder diffraction line list
Compound: La4SnHg3
Radiation: Cu Kα (λ = 1.5418 Å)
Structure: the GGA-PBE geometry in Alexandria
Neutral-atom scattering factors, no anomalous dispersion.

Crystal structure
```
La4SnHg3
1.0
5.480 0.000 0.000
0.000 5.480 0.000
0.000 0.000 16.065
La Sn Hg
8 2 6
Direct
0.000 0.500 0.125
0.000 0.500 0.375
0.000 0.500 0.625
0.000 0.500 0.875
0.500 0.000 0.125
0.500 0.000 0.375
0.500 0.000 0.625
0.500 0.000 0.875
0.000 0.000 0.000
0.500 0.500 0.500
0.000 0.000 0.253
0.000 0.000 0.500
0.000 0.000 0.747
0.500 0.500 0.000
0.500 0.500 0.247
0.500 0.500 0.753
```

Largest 10 diffraction maxima, by intensity, 10 to 90 degrees two-theta:
- 32.10 deg, I 100
- 32.68 deg, I 48
- 57.96 deg, I 38
- 56.85 deg, I 20
- 46.89 deg, I 18
- 67.13 deg, I 12
- 45.15 deg, I 10
- 75.07 deg, I 9
- 77.65 deg, I 8
- 77.97 deg, I 8

---

6.
Calculated powder diffraction line list
Compound: LaSn2Hg4
Radiation: Cu Kα (λ = 1.5418 Å)
Structure: the GGA-PBE geometry in Alexandria
Neutral-atom scattering factors, no anomalous dispersion.

Crystal structure
```
LaSn2Hg4
1.0
5.015 0.000 0.000
0.000 5.015 0.000
0.000 0.000 7.716
La Sn Hg
1 2 4
Direct
0.000 0.000 0.000
0.000 0.000 0.500
0.500 0.500 0.000
0.000 0.500 0.281
0.000 0.500 0.719
0.500 0.000 0.281
0.500 0.000 0.719
```

Largest 10 diffraction maxima, by intensity, 10 to 90 degrees two-theta:
- 34.35 deg, I 100
- 35.81 deg, I 50
- 63.41 deg, I 35
- 51.54 deg, I 18
- 25.11 deg, I 15
- 60.56 deg, I 14
- 27.68 deg, I 12
- 50.85 deg, I 9
- 86.85 deg, I 9
- 72.39 deg, I 9

---

7.
Calculated powder diffraction line list
Compound: SrLa2Hg3
Radiation: Cu Kα (λ = 1.5418 Å)
Structure: the GGA-PBE geometry in Alexandria
Neutral-atom scattering factors, no anomalous dispersion.

Crystal structure
```
SrLa2Hg3
1.0
3.922 0.000 0.000
0.000 3.922 0.000
0.000 0.000 11.965
Sr La Hg
1 2 3
Direct
0.000 0.000 0.000
0.000 0.000 0.337
0.000 0.000 0.663
0.500 0.500 0.178
0.500 0.500 0.500
0.500 0.500 0.822
```

Largest 10 diffraction maxima, by intensity, 10 to 90 degrees two-theta:
- 32.00 deg, I 100
- 32.28 deg, I 50
- 57.39 deg, I 38
- 56.87 deg, I 19
- 46.29 deg, I 18
- 66.92 deg, I 12
- 45.49 deg, I 9
- 76.86 deg, I 8
- 76.71 deg, I 8
- 75.51 deg, I 7

---

8.
Calculated powder diffraction line list
Compound: LaTaHg
Radiation: Cu Kα (λ = 1.5418 Å)
Structure: the GGA-PBE geometry in Alexandria
Neutral-atom scattering factors, no anomalous dispersion.

Crystal structure
```
LaTaHg
1.0
3.141 0.000 0.000
0.000 3.141 0.000
0.000 0.000 14.426
La Ta Hg
2 2 2
Direct
0.000 0.000 0.000
0.500 0.500 0.500
0.000 0.000 0.672
0.500 0.500 0.172
0.000 0.000 0.315
0.500 0.500 0.815
```

Largest 10 diffraction maxima, by intensity, 10 to 90 degrees two-theta:
- 34.10 deg, I 100
- 40.62 deg, I 32
- 69.75 deg, I 26
- 56.40 deg, I 21
- 37.40 deg, I 17
- 65.36 deg, I 11
- 58.80 deg, I 11
- 71.80 deg, I 10
- 12.27 deg, I 10
- 42.56 deg, I 8